No. 1
Theoretical PXRD pattern of LaDy12Tm5 for Cu Kα, from a DFT-relaxed cell (PBE, Alexandria).
Kinematic intensities with the Lorentz-polarization factor, no thermal factor.

The 10 most intense peaks (2θ = 10–90°), by intensity:
2θ/deg  intensity
30.94  100
35.88  51
61.43  43
51.65  36
84.34  18
64.49  12
87.11  8
87.02  8
76.03  4
76.11  2

Cell lengths 15.0135, 15.0294, 5.0025 Å; angles 90.00, 90.00, 90.00 degrees
Space group Cmmm (No. 65)
Inequivalent atoms, fractional coordinates:
1 La 0.0000 0.0000 0.0000
2 Dy 0.1653 0.3340 0.5000
3 Dy 0.1657 0.5000 0.0000
4 Dy 0.1677 0.1682 0.0000
5 Dy 0.1690 0.0000 0.5000
6 Tm 0.0000 0.1693 0.5000
7 Tm 0.0000 0.3335 0.0000
8 Tm 0.0000 0.5000 0.5000

No. 2
Theoretical PXRD pattern of La7DyTm3 for Cu Kα, from a DFT-relaxed cell (PBE, Alexandria).
Kinematic intensities with the Lorentz-polarization factor, no thermal factor.

The 12 most intense peaks (2θ = 10–90°), by intensity:
2θ/deg  intensity
31.17  100
31.82  77
31.40  63
31.23  25
30.07  17
51.72  15
55.76  14
56.33  14
44.88  14
44.99  14
62.15  11
61.76  11

Cell lengths 7.0709, 11.3946, 10.3071 Å; angles 90.00, 109.77, 90.00 degrees
Space group P2_1/m (No. 11)
Inequivalent atoms, fractional coordinates:
1 La 0.0831 0.0197 0.1683
2 La 0.1506 0.7500 0.3184
3 La 0.2026 0.2500 0.4047
4 La 0.3364 0.7500 0.6793
5 La 0.4079 0.0490 0.8179
6 Dy 0.5000 0.0000 0.5000
7 Tm 0.0000 0.0000 0.5000
8 Tm 0.2343 0.7500 0.9828
9 Tm 0.2575 0.2500 0.0222

No. 3
Theoretical PXRD pattern of La3Dy2Tm4 for Cu Kα, from a DFT-relaxed cell (PBE, Alexandria).
Kinematic intensities with the Lorentz-polarization factor, no thermal factor.

The 12 most intense peaks (2θ = 10–90°), by intensity:
2θ/deg  intensity
31.40  100
55.90  29
62.39  18
44.99  17
40.89  9
74.47  8
80.18  8
65.53  7
88.62  6
25.51  5
52.42  4
83.03  3

Cell lengths 9.8673, 17.0947, 3.4912 Å; angles 90.00, 90.00, 90.00 degrees
Space group Cmmm (No. 65)
Inequivalent atoms, fractional coordinates:
1 La 0.0000 0.0000 0.0000
2 La 0.0000 0.3311 0.0000
3 Dy 0.1663 0.5000 0.5000
4 Tm 0.1667 0.1666 0.5000

No. 4
Theoretical PXRD pattern of La3Dy2Tm3 for Cu Kα, from a DFT-relaxed cell (PBE, Alexandria).
Kinematic intensities with the Lorentz-polarization factor, no thermal factor.

The 12 most intense peaks (2θ = 10–90°), by intensity:
2θ/deg  intensity
35.29  100
30.34  100
30.40  49
30.67  48
60.31  28
50.95  24
60.07  14
60.21  14
60.65  14
63.24  12
50.47  12
50.56  12

Cell lengths 6.1891, 6.2645, 8.0434 Å; angles 104.98, 104.66, 109.63 degrees
Space group P-1 (No. 2)
Inequivalent atoms, fractional coordinates:
1 La 0.0000 0.0000 0.0000
2 La 0.1245 0.6248 0.2499
3 Dy 0.2517 0.2513 0.5026
4 Tm 0.3760 0.8760 0.7515
5 Tm 0.5000 0.5000 0.0000

No. 5
Theoretical PXRD pattern of La2Dy4Tm5 for Cu Kα, from a DFT-relaxed cell (PBE, Alexandria).
Kinematic intensities with the Lorentz-polarization factor, no thermal factor.

The 12 most intense peaks (2θ = 10–90°), by intensity:
2θ/deg  intensity
32.12  100
31.42  88
32.25  84
29.89  81
29.74  58
31.28  51
31.10  30
51.21  29
25.29  28
36.12  23
38.05  21
57.70  21

Cell lengths 3.5681, 9.0493, 12.1076 Å; angles 68.36, 81.70, 89.75 degrees
Space group P-1 (No. 2)
Inequivalent atoms, fractional coordinates:
1 La 0.1222 0.4276 0.2750
2 Dy 0.0581 0.7100 0.4149
3 Dy 0.3132 0.1593 0.8659
4 Tm 0.1306 0.0752 0.2406
5 Tm 0.2654 0.6635 0.9681
6 Tm 0.5000 0.0000 0.5000

No. 6
Theoretical PXRD pattern of La3DyY2Tm6 for Cu Kα, from a DFT-relaxed cell (PBE, Alexandria).
Kinematic intensities with the Lorentz-polarization factor, no thermal factor.

The 12 most intense peaks (2θ = 10–90°), by intensity:
2θ/deg  intensity
30.63  100
35.59  67
30.90  32
60.87  28
51.05  24
51.40  23
60.72  14
61.18  14
63.78  12
83.23  12
85.96  11
86.50  10

Cell lengths 6.1990, 10.7332, 11.7585 Å; angles 90.00, 100.10, 90.00 degrees
Space group C2/m (No. 12)
Inequivalent atoms, fractional coordinates:
1 La 0.0000 0.0000 0.0000
2 La 0.0000 0.3333 0.0000
3 Dy 0.0000 0.5000 0.5000
4 Y 0.0000 0.1667 0.5000
5 Tm 0.2476 0.3337 0.7450
6 Tm 0.2487 0.0000 0.7451

No. 7
Theoretical PXRD pattern of LaDyYTm for Cu Kα, from a DFT-relaxed cell (PBE, Alexandria).
Kinematic intensities with the Lorentz-polarization factor, no thermal factor.

The 12 most intense peaks (2θ = 10–90°), by intensity:
2θ/deg  intensity
31.44  100
33.90  74
30.58  49
60.46  44
50.80  36
29.13  28
53.26  24
38.67  18
30.47  15
60.97  15
85.65  15
28.79  14

Cell lengths 3.5949, 3.5949, 35.0826 Å; angles 90.00, 90.00, 120.00 degrees
Space group R3m (No. 160, hexagonal axes)
Inequivalent atoms, fractional coordinates:
1 La 0.0000 0.0000 0.0000
2 Dy 0.0000 0.0000 0.7522
3 Y 0.0000 0.0000 0.5793
4 Tm 0.0000 0.0000 0.1651

No. 8
Theoretical PXRD pattern of LaDy2YTm5 for Cu Kα, from a DFT-relaxed cell (PBE, Alexandria).
Kinematic intensities with the Lorentz-polarization factor, no thermal factor.

The 12 most intense peaks (2θ = 10–90°), by intensity:
2θ/deg  intensity
31.65  100
28.96  55
28.39  51
36.97  24
31.83  22
38.15  19
42.37  19
52.36  17
58.64  13
58.31  13
49.78  13
46.01  11

Cell lengths 8.8905, 8.8905, 14.6527 Å; angles 90.00, 90.00, 90.00 degrees
Space group I4/mcm (No. 140)
Inequivalent atoms, fractional coordinates:
1 La 0.0000 0.0000 0.2500
2 Dy 0.1128 0.3872 0.0000
3 Y 0.0000 0.5000 0.2500
4 Tm 0.0000 0.0000 0.0000
5 Tm 0.2055 0.2945 0.3696

No. 9
Theoretical PXRD pattern of La6Dy3Y for Cu Kα, from a DFT-relaxed cell (PBE, Alexandria).
Kinematic intensities with the Lorentz-polarization factor, no thermal factor.

The 12 most intense peaks (2θ = 10–90°), by intensity:
2θ/deg  intensity
31.66  100
27.60  30
31.97  25
27.99  23
32.70  20
34.10  16
29.87  16
56.39  15
44.09  11
47.25  11
66.14  8
14.14  7

Cell lengths 5.6505, 10.1429, 12.5232 Å; angles 90.00, 90.03, 90.00 degrees
Space group P2_1/c (No. 14)
Inequivalent atoms, fractional coordinates:
1 La 0.0002 0.1791 0.1720
2 La 0.4991 0.0600 0.7208
3 La 0.4996 0.1844 0.4803
4 Dy 0.0000 0.0000 0.5000
5 Dy 0.9996 0.1461 0.9030
6 Y 0.5000 0.0000 0.0000

No. 10
Theoretical PXRD pattern of La2Dy3Y8 for Cu Kα, from a DFT-relaxed cell (PBE, Alexandria).
Kinematic intensities with the Lorentz-polarization factor, no thermal factor.

The 12 most intense peaks (2θ = 10–90°), by intensity:
2θ/deg  intensity
33.08  100
32.09  36
29.00  29
30.06  28
57.83  21
24.74  20
47.48  20
34.03  16
67.14  12
40.93  12
63.38  9
35.42  9

Cell lengths 7.6591, 21.0766, 5.5786 Å; angles 90.00, 90.00, 90.00 degrees
Space group Cmmm (No. 65)
Inequivalent atoms, fractional coordinates:
1 La 0.0000 0.2402 0.0000
2 Dy 0.0000 0.0000 0.0000
3 Dy 0.2131 0.5000 0.5000
4 Y 0.0000 0.1262 0.5000
5 Y 0.0000 0.3397 0.5000
6 Y 0.2124 0.3952 0.0000

No. 11
Theoretical PXRD pattern of La2DyY2 for Cu Kα, from a DFT-relaxed cell (PBE, Alexandria).
Kinematic intensities with the Lorentz-polarization factor, no thermal factor.

The 12 most intense peaks (2θ = 10–90°), by intensity:
2θ/deg  intensity
31.13  100
32.86  65
28.42  64
31.84  63
32.04  59
19.65  50
29.75  39
27.75  34
39.91  26
58.42  25
33.75  20
51.78  20

Cell lengths 8.7546, 9.6679, 8.8127 Å; angles 90.00, 108.84, 90.00 degrees
Space group Cc (No. 9)
Inequivalent atoms, fractional coordinates:
1 La 0.0000 0.0002 0.0000
2 La 0.2501 0.2497 0.0000
3 Dy 0.0006 0.2977 0.2504
4 Y 0.1527 0.4073 0.6329
5 Y 0.3481 0.0927 0.3677

No. 12
Theoretical PXRD pattern of La4Dy15Y for Cu Kα, from a DFT-relaxed cell (PBE, Alexandria).
Kinematic intensities with the Lorentz-polarization factor, no thermal factor.

The 12 most intense peaks (2θ = 10–90°), by intensity:
2θ/deg  intensity
30.52  100
35.31  34
60.42  29
50.96  24
35.53  17
60.71  14
63.51  12
50.79  12
83.03  12
82.78  6
85.39  6
85.52  6

Cell lengths 5.0841, 5.0841, 25.2693 Å; angles 90.00, 90.00, 90.00 degrees
Space group P4/mmm (No. 123)
Inequivalent atoms, fractional coordinates:
1 La 0.0000 0.0000 0.1005
2 La 0.0000 0.0000 0.3004
3 Dy 0.0000 0.5000 0.0000
4 Dy 0.0000 0.5000 0.2009
5 Dy 0.0000 0.5000 0.4019
6 Dy 0.5000 0.5000 0.1004
7 Dy 0.5000 0.5000 0.3015
8 Dy 0.5000 0.5000 0.5000
9 Y 0.0000 0.0000 0.5000